1.
This entry pairs a crystal structure of DyHoErIn with its computed powder diffractogram. Radiation: Cu Kα. Structure: a structure optimized by DFT (GGA-PBE).
Neutral-atom scattering factors, no anomalous dispersion.

Atomic structure:
```
DyHoErIn
1.0
4.8198 0.0000 0.0000
0.0000 4.8240 0.0000
0.0000 0.0000 4.8241
Dy Ho Er In
1 1 1 1
direct
0.0000 0.0000 0.0000
0.0000 0.5000 0.5000
0.5000 0.5000 0.0000
0.5000 0.0000 0.5000
```

Top 10 peaks for 10 to 90 degrees two-theta, low angle first:
2θ/deg, Rel. int.
18.40, 1.6
26.13, 1.4
32.15, 100.0
37.29, 50.3
41.89, 0.9
53.76, 35.0
64.03, 41.2
67.25, 11.9
79.50, 5.6
88.34, 17.7


2.
This entry pairs a crystal structure of LaSmIn6 with its computed powder diffractogram. Radiation: Cu Kα. Structure: a structure optimized by DFT (GGA-PBE).
Neutral-atom scattering factors, no anomalous dispersion.

Atomic structure:
```
LaSmIn6
1.0
5.2456 0.0000 0.0000
0.0000 3.4208 5.9176
0.0000 -3.4208 5.9176
La Sm In
1 1 6
direct
0.0000 0.0000 0.0000
0.5000 0.6672 0.6672
0.0000 0.0162 0.4920
0.0000 0.4920 0.0162
0.0000 0.4927 0.4927
0.5000 0.1771 0.1771
0.5000 0.1776 0.6461
0.5000 0.6461 0.1776
```

Top 10 peaks for 10 to 90 degrees two-theta, low angle first:
2θ/deg, Rel. int.
30.19, 24.3
34.19, 23.7
34.80, 100.0
46.24, 14.8
53.62, 18.2
61.60, 18.4
65.14, 19.9
65.52, 14.4
86.06, 6.9
89.54, 8.1